[1]
Starting from a structure optimized by DFT (GGA+U), the X-ray powder pattern of CaHoW2O6 was calculated for Cu Ka.
Kinematic intensities with the Lorentz-polarization factor, no thermal factor.

Cell and atoms:
```
data_CaHoW2O6
_chemical_formula_sum 'Ca2 Ho2 W4 O12'
_space_group_name_H-M_alt 'P 1 c 1'
_space_group_IT_number 7
_cell_length_a 5.497
_cell_length_b 5.782
_cell_length_c 9.793
_cell_angle_alpha 90.00
_cell_angle_beta 124.01
_cell_angle_gamma 90.00
loop_
_space_group_symop_operation_xyz
'x,y,z'
'x,-y,z+1/2'
loop_
_atom_site_label
_atom_site_fract_x
_atom_site_fract_y
_atom_site_fract_z
Ca1 0.000 0.196 0.000
Ho1 0.535 0.313 0.501
W1 0.263 0.248 0.751
W2 0.763 0.248 0.250
O1 0.146 0.194 0.498
O2 0.399 0.317 0.004
O3 0.521 0.066 0.318
O4 0.639 0.463 0.820
O5 0.871 0.055 0.686
O6 0.984 0.451 0.183
```

Top 10 peaks for 5° ≤ 2θ ≤ 70°, low angle first:
2θ (°)	I_rel	index
19.50	9	1 0 0
22.31	15	1 1 -1
30.93	22	0 2 0
31.46	100	1 1 1
32.58	22	2 0 -2
44.65	12	0 0 4
45.54	19	2 2 -2
55.33	26	0 2 4
57.38	11	3 1 -1
57.49	11	3 1 -5



[2]
Starting from a structure optimized by DFT (GGA+U), the X-ray powder pattern of MnO4 was calculated for Cu Ka.
Kinematic intensities with the Lorentz-polarization factor, no thermal factor.

Cell and atoms:
```
data_MnO4
_chemical_formula_sum 'Mn4 O16'
_space_group_name_H-M_alt 'I 41/a m d'
_space_group_IT_number 141
_cell_length_a 5.748
_cell_length_b 5.748
_cell_length_c 9.914
_cell_angle_alpha 90.00
_cell_angle_beta 90.00
_cell_angle_gamma 90.00
loop_
_space_group_symop_operation_xyz
'x,y,z'
'-x,-y,-z'
'-y+1/4,x+3/4,z+1/4'
'y+1/4,-x+3/4,-z+1/4'
'-x+1/2,-y,z+1/2'
'x+1/2,y,-z+1/2'
'y+1/4,-x+1/4,z+3/4'
'-y+1/4,x+1/4,-z+3/4'
'x,-y,-z'
'-x,y,z'
'-y+1/4,-x+1/4,-z+3/4'
'y+1/4,x+1/4,z+3/4'
'-x+1/2,y,-z+1/2'
'x+1/2,-y,z+1/2'
'y+1/4,x+3/4,-z+1/4'
'-y+1/4,-x+3/4,z+1/4'
'x+1/2,y+1/2,z+1/2'
'-x+1/2,-y+1/2,-z+1/2'
'-y+3/4,x+1/4,z+3/4'
'y+3/4,-x+1/4,-z+3/4'
'-x,-y+1/2,z'
'x,y+1/2,-z'
'y+3/4,-x+3/4,z+1/4'
'-y+3/4,x+3/4,-z+1/4'
'x+1/2,-y+1/2,-z+1/2'
'-x+1/2,y+1/2,z+1/2'
'-y+3/4,-x+3/4,-z+1/4'
'y+3/4,x+3/4,z+1/4'
'-x,y+1/2,-z'
'x,-y+1/2,z'
'y+3/4,x+1/4,-z+3/4'
'-y+3/4,-x+1/4,z+3/4'
loop_
_atom_site_label
_atom_site_fract_x
_atom_site_fract_y
_atom_site_fract_z
Mn1 0.000 0.250 0.375
O1 0.000 0.021 0.280
```

Top 10 peaks for 5° ≤ 2θ ≤ 70°, low angle first:
2θ (°)	I_rel	index
17.84	100	1 0 1
28.40	42	1 1 2
31.12	15	2 0 0
31.22	27	1 0 3
36.11	40	2 0 2
48.50	8	2 0 4
53.71	10	3 1 2
55.43	7	3 0 3
58.78	22	2 2 4
64.90	8	4 0 0



[3]
Starting from a structure optimized by DFT (GGA+U), the X-ray powder pattern of Li3Mn2F9 was calculated for Cu Ka.
Kinematic intensities with the Lorentz-polarization factor, no thermal factor.

Cell and atoms:
```
data_Li3Mn2F9
_chemical_formula_sum 'Li6 Mn4 F18'
_space_group_name_H-M_alt 'P 1'
_space_group_IT_number 1
_cell_length_a 5.298
_cell_length_b 5.329
_cell_length_c 15.177
_cell_angle_alpha 92.09
_cell_angle_beta 93.17
_cell_angle_gamma 118.38
loop_
_space_group_symop_operation_xyz
'x,y,z'
loop_
_atom_site_label
_atom_site_fract_x
_atom_site_fract_y
_atom_site_fract_z
Li1 0.000 0.000 0.000
Li2 0.036 0.649 0.299
Li3 0.167 0.808 0.497
Li4 0.690 0.746 0.591
Li5 0.828 0.868 0.799
Li6 0.911 0.510 0.087
Mn1 0.094 0.458 0.695
Mn2 0.273 0.599 0.896
Mn3 0.629 0.922 0.195
Mn4 0.765 0.088 0.395
F1 0.002 0.667 0.603
F2 0.066 0.387 0.991
F3 0.087 0.103 0.450
F4 0.173 0.252 0.831
F5 0.233 0.652 0.175
F6 0.291 0.921 0.949
F7 0.359 0.433 0.629
F8 0.407 0.764 0.779
F9 0.416 0.999 0.331
F10 0.554 0.879 0.490
F11 0.595 0.177 0.124
F12 0.698 0.712 0.282
F13 0.699 0.743 0.918
F14 0.835 0.057 0.677
F15 0.846 0.829 0.105
F16 0.869 0.522 0.776
F17 0.917 0.509 0.416
F18 0.929 0.237 0.276
```

Top 10 peaks for 5° ≤ 2θ ≤ 70°, low angle first:
2θ (°)	I_rel	index
11.71	12	0 0 2
19.48	100	1 -1 0
20.27	8	0 1 1
20.45	7	1 0 1
23.54	11	0 0 4
26.92	10	0 1 3
27.16	10	1 0 3
30.90	6	1 -1 4
34.13	7	0 1 -5
60.93	6	3 -3 0